Record 1
For NaAgF4, the GGA-PBE geometry in the Materials Project gives the calculated powder X-ray diffraction pattern in this record (Cu Ka).
Lines closer than 0.1° are merged.

Cell and atoms:
a = 6.689 Å, b = 6.689 Å, c = 6.689 Å
α = 129.87°, β = 129.87°, γ = 73.62°
Sites, in units of the cell vectors:
Na: 0.250 0.250 0.000
Na: 0.750 0.750 0.000
Ag: 0.000 0.500 0.500
Ag: 0.500 0.000 0.500
F: 0.050 0.550 0.855
F: 0.196 0.050 0.500
F: 0.304 0.804 0.855
F: 0.450 0.304 0.500
F: 0.550 0.696 0.500
F: 0.696 0.196 0.145
F: 0.804 0.950 0.500
F: 0.950 0.450 0.145

Largest 12 diffraction maxima, low angle first, 2θ from 10° to 80°:
2θ = 16.6°, intensity 34
2θ = 22.2°, intensity 51
2θ = 27.8°, intensity 100
2θ = 31.6°, intensity 15
2θ = 35.9°, intensity 22
2θ = 40.5°, intensity 10
2θ = 45.3°, intensity 19
2θ = 46.7°, intensity 41
2θ = 53.9°, intensity 30
2θ = 56.4°, intensity 13
2θ = 62.3°, intensity 14
2θ = 75.1°, intensity 10

Record 2
For InI4N, the GGA-PBE geometry in the Materials Project gives the calculated powder X-ray diffraction pattern in this record (Cu Ka).
Lines closer than 0.1° are merged.

Cell and atoms:
a = 7.316 Å, b = 11.848 Å, c = 12.149 Å
α = 90.00°, β = 90.00°, γ = 90.00°
Sites, in units of the cell vectors:
In: 0.250 0.000 0.174
In: 0.250 0.500 0.326
In: 0.750 0.000 0.826
In: 0.750 0.500 0.674
I: 0.021 0.055 0.678
I: 0.021 0.445 0.822
I: 0.166 0.181 0.036
I: 0.166 0.319 0.464
I: 0.334 0.681 0.464
I: 0.334 0.819 0.036
I: 0.479 0.555 0.822
I: 0.479 0.945 0.678
I: 0.521 0.055 0.322
I: 0.521 0.445 0.178
I: 0.666 0.181 0.964
I: 0.666 0.319 0.536
I: 0.834 0.681 0.536
I: 0.834 0.819 0.964
I: 0.979 0.555 0.178
I: 0.979 0.945 0.322
N: 0.173 0.750 0.750
N: 0.327 0.250 0.750
N: 0.673 0.750 0.250
N: 0.827 0.250 0.250

Largest 12 diffraction maxima, low angle first, 2θ from 10° to 80°:
2θ = 20.4°, intensity 54
2θ = 20.9°, intensity 100
2θ = 23.2°, intensity 30
2θ = 23.7°, intensity 42
2θ = 24.3°, intensity 39
2θ = 26.5°, intensity 46
2θ = 26.7°, intensity 47
2θ = 33.9°, intensity 52
2θ = 39.4°, intensity 32
2θ = 39.8°, intensity 31
2θ = 40.3°, intensity 39
2θ = 44.5°, intensity 30

Record 3
For SeO2F2, the GGA-PBE geometry in the Materials Project gives the calculated powder X-ray diffraction pattern in this record (Cu Ka).
Lines closer than 0.1° are merged.

Cell and atoms:
a = 5.985 Å, b = 15.889 Å, c = 8.286 Å
α = 90.00°, β = 104.77°, γ = 90.00°
Sites, in units of the cell vectors:
Se: 0.051 0.142 0.179
Se: 0.051 0.358 0.679
Se: 0.341 0.091 0.718
Se: 0.341 0.409 0.218
Se: 0.659 0.591 0.782
Se: 0.659 0.909 0.282
Se: 0.949 0.642 0.321
Se: 0.949 0.858 0.821
O: 0.039 0.041 0.188
O: 0.039 0.459 0.688
O: 0.102 0.117 0.589
O: 0.102 0.383 0.089
O: 0.272 0.200 0.257
O: 0.272 0.300 0.757
O: 0.409 0.098 0.918
O: 0.409 0.402 0.418
O: 0.591 0.598 0.582
O: 0.591 0.902 0.082
O: 0.728 0.700 0.243
O: 0.728 0.800 0.743
O: 0.898 0.617 0.911
O: 0.898 0.883 0.411
O: 0.961 0.541 0.312
O: 0.961 0.959 0.812
F: 0.055 0.670 0.530
F: 0.055 0.830 0.030
F: 0.187 0.684 0.264
F: 0.187 0.816 0.764
F: 0.406 0.511 0.167
F: 0.406 0.989 0.667
F: 0.436 0.636 0.854
F: 0.436 0.864 0.354
F: 0.564 0.136 0.646
F: 0.564 0.364 0.146
F: 0.594 0.011 0.333
F: 0.594 0.489 0.833
F: 0.813 0.184 0.236
F: 0.813 0.316 0.736
F: 0.945 0.170 0.970
F: 0.945 0.330 0.470

Largest 12 diffraction maxima, low angle first, 2θ from 10° to 80°:
2θ = 16.3°, intensity 29
2θ = 19.9°, intensity 100
2θ = 21.8°, intensity 40
2θ = 22.2°, intensity 53
2θ = 22.4°, intensity 52
2θ = 22.8°, intensity 32
2θ = 22.9°, intensity 26
2θ = 23.9°, intensity 56
2θ = 24.2°, intensity 24
2θ = 25.0°, intensity 37
2θ = 30.6°, intensity 30
2θ = 47.1°, intensity 19